# KUIn2Cl6
Simulated powder diffraction line list, Cu Kα (λ = 1.5418 Å). Input: a cell relaxed with PBE.

Largest 10 diffraction maxima, by angle, 10° ≤ 2θ ≤ 90°:
(hkl)	2θ/deg	Rel. int.
1 0 1	13.4	100
1 1 0	21.9	74
1 0 4	22.5	51
0 1 5	26.5	34
0 2 4	31.6	45
2 0 5	34.6	27
1 1 6	35.8	24
3 0 0	38.5	36
3 -1 4	38.8	35
3 -2 5	41.4	35

Structure:
Lattice parameters (Å, degrees): 8.1014 8.1014 19.1854 90.00 90.00 120.00
Space group R-3 (No. 148, hexagonal axes)
Inequivalent atoms, fractional coordinates:
K 0.0000 0.0000 0.0000 x3
U 0.0000 0.0000 0.5000 x3
In 0.0000 0.0000 0.2873 x6
Cl 0.0392 0.2847 0.5892 x18